Entry 1:
Starting from a cell relaxed with PBE, the XRD peak list of La2Sm5Dy5 was computed for a wavelength of 1.5418 Å.
Intensities are scaled so that the largest is 100.

Main lines, sorted by position (2θ = 10–80°):
2θ 30.28, I = 100
2θ 35.10, I = 51
2θ 50.49, I = 36
2θ 59.99, I = 29
2θ 60.07, I = 14
2θ 62.98, I = 12
2θ 74.14, I = 4
2θ 74.29, I = 2

```
La2Sm5Dy5
1.0
7.672 -2.553 0.000
7.672 2.553 0.000
-5.129 0.000 10.233
La Sm Dy
2 5 5
direct
0.165 0.165 0.000 La
0.835 0.835 0.000 La
0.000 0.000 0.500 Sm
0.084 0.084 0.254 Sm
0.249 0.249 0.746 Sm
0.751 0.751 0.254 Sm
0.916 0.916 0.746 Sm
0.333 0.333 0.499 Dy
0.419 0.419 0.254 Dy
0.500 0.500 0.000 Dy
0.581 0.581 0.746 Dy
0.667 0.667 0.501 Dy
```

Entry 2:
Starting from a cell relaxed with PBE, the XRD peak list of La2Sm3Dy3 was computed for a wavelength of 1.5418 Å.
Intensities are scaled so that the largest is 100.

Main lines, sorted by position (2θ = 10–80°):
2θ 30.18, I = 100
2θ 34.91, I = 34
2θ 35.15, I = 17
2θ 50.20, I = 12
2θ 50.38, I = 24
2θ 59.70, I = 29
2θ 60.02, I = 14
2θ 62.76, I = 12
2θ 73.72, I = 4
2θ 74.31, I = 2

```
La2Sm3Dy3
1.0
-2.569 2.571 10.211
2.569 -2.571 10.211
2.569 2.571 -10.211
La Sm Dy
2 3 3
direct
0.250 0.250 0.000 La
0.750 0.750 0.000 La
0.000 0.000 0.000 Sm
0.378 0.878 0.500 Sm
0.622 0.122 0.500 Sm
0.122 0.622 0.500 Dy
0.500 0.500 0.000 Dy
0.878 0.378 0.500 Dy
```

Entry 3:
Starting from a cell relaxed with PBE, the XRD peak list of La3Sm8Dy was computed for a wavelength of 1.5418 Å.
Intensities are scaled so that the largest is 100.

Main lines, sorted by position (2θ = 10–80°):
2θ 14.10, I = 35
2θ 23.70, I = 67
2θ 25.35, I = 57
2θ 28.42, I = 84
2θ 31.14, I = 75
2θ 32.49, I = 63
2θ 35.58, I = 100
2θ 42.66, I = 55
2θ 43.70, I = 71
2θ 68.04, I = 37

```
La3Sm8Dy
1.0
-4.441 4.441 5.744
4.441 -4.441 5.744
4.441 4.441 -5.744
La Sm Dy
3 8 1
direct
0.000 0.000 0.000 La
0.250 0.750 0.500 La
0.750 0.250 0.500 La
0.130 0.375 0.000 Sm
0.246 0.246 0.504 Sm
0.258 0.754 0.000 Sm
0.375 0.130 0.000 Sm
0.625 0.625 0.755 Sm
0.742 0.742 0.496 Sm
0.754 0.258 0.000 Sm
0.870 0.870 0.245 Sm
0.500 0.500 0.000 Dy
```